Entry 1:
MnCoSnRh: calculated X-ray powder pattern (Cu Kα (λ = 1.5418 Å)), based on the PBE geometry in the Materials Project.
Intensities are scaled so that the largest is 100.

Peak list (5 most intense, 2θ = 5–70°, sorted by position)
| two_theta | d_spacing | intensity |
| --- | --- | --- |
| 25.01 | 3.561 | 13 |
| 41.41 | 2.181 | 100 |
| 48.98 | 1.860 | 7 |
| 60.00 | 1.542 | 16 |
| 66.03 | 1.415 | 3 |

Crystal structure
Unit cell a=4.3611 b=4.3611 c=4.3611 alpha=60.00 beta=60.00 gamma=60.00
Fractional coordinates of all 4 atoms:
1 Mn 0.0000 0.0000 0.0000
2 Co 0.2500 0.2500 0.2500
3 Sn 0.5000 0.5000 0.5000
4 Rh 0.7500 0.7500 0.7500

Entry 2:
Mn4CoS5: calculated X-ray powder pattern (Cu Kα (λ = 1.5418 Å)), based on the PBE geometry in the Materials Project.
Intensities are scaled so that the largest is 100.

Peak list (6 most intense, 2θ = 5–70°, sorted by position)
| two_theta | d_spacing | intensity |
| --- | --- | --- |
| 6.19 | 14.288 | 5 |
| 30.71 | 2.911 | 11 |
| 35.78 | 2.510 | 100 |
| 51.11 | 1.787 | 34 |
| 51.89 | 1.762 | 28 |
| 63.95 | 1.456 | 16 |

Crystal structure
Unit cell a=14.4365 b=14.4365 c=14.4365 alpha=14.22 beta=14.22 gamma=14.22
Fractional coordinates of all 10 atoms:
1 Mn 0.1040 0.1040 0.1040
2 Mn 0.2995 0.2995 0.2995
3 Mn 0.7005 0.7005 0.7005
4 Mn 0.8960 0.8960 0.8960
5 Co 0.5000 0.5000 0.5000
6 S 0.0000 0.0000 0.0000
7 S 0.1949 0.1949 0.1949
8 S 0.4028 0.4028 0.4028
9 S 0.5972 0.5972 0.5972
10 S 0.8051 0.8051 0.8051

Number 2 is which compound? Mn4CoS5